Diffraction record for LiFeAsCO7. The powder diffractogram is simulated, not measured: it uses the GGA+U geometry in Alexandria and Cu Ka.
No peak broadening, texture or thermal motion is included.

Peak list (6 most intense, 15° ≤ 2θ ≤ 90°, sorted by position)
18.74°, d 4.735, I = 71
19.64°, d 4.519, I = 51
23.88°, d 3.726, I = 71
25.55°, d 3.487, I = 66
27.09°, d 3.291, I = 100
32.79°, d 2.731, I = 35

Structural model:
```
LiFeAsCO7
1.0
5.470 0.000 0.000
0.000 6.583 0.000
-0.448 0.000 8.681
Li Fe As C O
2 2 2 2 14
direct
0.244 0.000 0.311 Li
0.756 0.500 0.689 Li
0.202 0.341 0.844 Fe
0.798 0.841 0.156 Fe
0.283 0.845 0.929 As
0.717 0.345 0.071 As
0.258 0.320 0.555 C
0.742 0.820 0.445 C
0.045 0.343 0.611 O
0.145 0.858 0.103 O
0.200 0.639 0.819 O
0.203 0.047 0.815 O
0.283 0.267 0.417 O
0.405 0.338 0.030 O
0.444 0.346 0.652 O
0.556 0.846 0.348 O
0.595 0.838 0.970 O
0.717 0.767 0.583 O
0.797 0.547 0.185 O
0.800 0.139 0.181 O
0.855 0.358 0.897 O
0.955 0.843 0.389 O
```